Structure and computed PXRD pattern of Li7Mn2Co3O12 (a cell relaxed with GGA+U; a wavelength of 1.5418 Å).

```
data_Li7Mn2Co3O12
_cell_length_a 15.3586
_cell_length_b 2.9001
_cell_length_c 10.3094
_cell_angle_alpha 90.00
_cell_angle_beta 109.35
_cell_angle_gamma 90.00
_symmetry_space_group_name_H-M 'C 1 2/m 1'
_symmetry_Int_Tables_number 12
loop_
_symmetry_equiv_pos_as_xyz
'x,y,z'
'-x,-y,-z'
'-x,y,-z'
'x,-y,z'
'x+1/2,y+1/2,z'
'-x+1/2,-y+1/2,-z'
'-x+1/2,y+1/2,-z'
'x+1/2,-y+1/2,z'
loop_
_atom_site_label
_atom_site_type_symbol
_atom_site_fract_x
_atom_site_fract_y
_atom_site_fract_z
Li1 Li 0.0000 0.0000 0.0000
Li2 Li 0.0022 0.5000 0.7681
Li3 Li 0.1632 0.0000 0.4080
Li4 Li 0.1662 0.0000 0.9213
Mn1 Mn 0.1692 0.5000 0.6699
Co1 Co 0.0000 0.0000 0.5000
Co2 Co 0.1520 0.5000 0.1462
O1 O 0.0828 0.5000 0.4775
O2 O 0.0885 0.0000 0.2109
O3 O 0.0892 0.5000 0.9674
O4 O 0.0950 0.0000 0.7082
O5 O 0.2397 0.0000 0.6274
O6 O 0.2486 0.0000 0.1428
```

Principal peaks in the range 2θ from 15° to 90°, in order of rising 2θ:
- hkl 2 0 -2, 2θ 18.29, I = 100
- hkl 4 0 2, 2θ 35.47, I = 14
- hkl 3 1 0, 2θ 36.13, I = 24
- hkl 2 0 4, 2θ 42.98, I = 26
- hkl 5 1 -2, 2θ 43.71, I = 56
- hkl 1 1 -4, 2θ 47.60, I = 9
- hkl 7 1 -4, 2θ 57.53, I = 10
- hkl 3 1 -6, 2θ 62.87, I = 14
- hkl 7 1 2, 2θ 63.08, I = 13
- hkl 0 2 0, 2θ 64.24, I = 8



Structure and computed PXRD pattern of Li6Mn3CoO10 (a cell relaxed with GGA+U; a wavelength of 1.5418 Å).

```
data_Li6Mn3CoO10
_cell_length_a 15.3027
_cell_length_b 2.8620
_cell_length_c 8.6128
_cell_angle_alpha 90.00
_cell_angle_beta 106.96
_cell_angle_gamma 90.00
_symmetry_space_group_name_H-M 'C 1 m 1'
_symmetry_Int_Tables_number 8
loop_
_symmetry_equiv_pos_as_xyz
'x,y,z'
'x,-y,z'
'x+1/2,y+1/2,z'
'x+1/2,-y+1/2,z'
loop_
_atom_site_label
_atom_site_type_symbol
_atom_site_fract_x
_atom_site_fract_y
_atom_site_fract_z
Li1 Li 0.0000 0.0000 0.0000
Li2 Li 0.0007 0.0000 0.5090
Li3 Li 0.0961 0.5000 0.7735
Li4 Li 0.1934 0.0000 0.5950
Li5 Li 0.3078 0.5000 0.4178
Li6 Li 0.4028 0.0000 0.2275
Mn1 Mn 0.0967 0.5000 0.3200
Mn2 Mn 0.2011 0.0000 0.1116
Mn3 Mn 0.3008 0.5000 0.8932
Co1 Co 0.4041 0.0000 0.6901
O1 O 0.0073 0.0000 0.2563
O2 O 0.0999 0.5000 0.5343
O3 O 0.1090 0.5000 0.0783
O4 O 0.1869 0.0000 0.3562
O5 O 0.2088 0.0000 0.8519
O6 O 0.2935 0.5000 0.1554
O7 O 0.3163 0.5000 0.6541
O8 O 0.3933 0.0000 0.9284
O9 O 0.4021 0.0000 0.4800
O10 O 0.4911 0.5000 0.7515
```

Principal peaks in the range 2θ from 15° to 90°, in order of rising 2θ:
- hkl 2 0 1, 2θ 18.42, I = 100
- hkl 4 0 -3, 2θ 34.65, I = 14
- hkl 3 1 -1, 2θ 36.42, I = 25
- hkl 2 0 -4, 2θ 41.96, I = 31
- hkl 5 1 0, 2θ 44.26, I = 57
- hkl 1 1 3, 2θ 47.61, I = 11
- hkl 7 1 1, 2θ 58.32, I = 10
- hkl 7 1 -4, 2θ 62.36, I = 15
- hkl 3 1 4, 2θ 62.89, I = 15
- hkl 0 2 0, 2θ 65.19, I = 8



Structure and computed PXRD pattern of Li7Mn4CoO12 (a cell relaxed with GGA+U; a wavelength of 1.5418 Å).

```
data_Li7Mn4CoO12
_cell_length_a 2.8838
_cell_length_b 5.1886
_cell_length_c 29.1395
_cell_angle_alpha 92.00
_cell_angle_beta 90.01
_cell_angle_gamma 90.02
_symmetry_space_group_name_H-M 'P 1'
_symmetry_Int_Tables_number 1
loop_
_symmetry_equiv_pos_as_xyz
'x,y,z'
loop_
_atom_site_label
_atom_site_type_symbol
_atom_site_fract_x
_atom_site_fract_y
_atom_site_fract_z
Li1 Li 0.0000 0.0000 0.0000
Li2 Li 0.9996 0.0036 0.7491
Li3 Li 0.0002 0.3284 0.0777
Li4 Li 0.0002 0.3472 0.5788
Li5 Li 0.9997 0.6578 0.9197
Li6 Li 0.0014 0.0058 0.4991
Li7 Li 0.0018 0.6714 0.4210
Li8 Li 0.4966 0.1904 0.1672
Li9 Li 0.4981 0.8170 0.3340
Li10 Li 0.4996 0.1875 0.6654
Li11 Li 0.4995 0.5206 0.9948
Li12 Li 0.4996 0.8219 0.8318
Li13 Li 0.5009 0.4987 0.5005
Li14 Li 0.9928 0.9818 0.2567
Mn1 Mn 0.4997 0.1304 0.9208
Mn2 Mn 0.5001 0.8744 0.5790
Mn3 Mn 0.5008 0.8452 0.0800
Mn4 Mn 0.5032 0.1470 0.4197
Mn5 Mn 0.9974 0.6838 0.1657
Mn6 Mn 0.9995 0.3149 0.8341
Mn7 Mn 0.9993 0.3270 0.3327
Mn8 Mn 0.9995 0.6912 0.6658
Co1 Co 0.4972 0.5073 0.2497
Co2 Co 0.4996 0.5032 0.7499
O1 O 0.0001 0.0174 0.6187
O2 O 0.9997 0.3043 0.9546
O3 O 0.9998 0.3542 0.7125
O4 O 0.0001 0.7006 0.5459
O5 O 0.0000 0.9771 0.1216
O6 O 0.9996 0.9870 0.8818
O7 O 0.0010 0.6789 0.0464
O8 O 0.0029 0.0077 0.3798
O9 O 0.0033 0.3188 0.4533
O10 O 0.4941 0.1734 0.2941
O11 O 0.4944 0.8454 0.2012
O12 O 0.4995 0.8350 0.7046
O13 O 0.5002 0.1328 0.0473
O14 O 0.5004 0.1572 0.5440
O15 O 0.4995 0.1681 0.7962
O16 O 0.4996 0.4404 0.8753
O17 O 0.4996 0.5605 0.6257
O18 O 0.4997 0.8465 0.9564
O19 O 0.5011 0.5436 0.1263
O20 O 0.5021 0.8625 0.4543
O21 O 0.5049 0.4550 0.3732
O22 O 0.9971 0.3908 0.2027
O23 O 0.9972 0.6535 0.2918
O24 O 0.9994 0.6493 0.7882
```

Principal peaks in the range 2θ from 15° to 90°, in order of rising 2θ:
- hkl 0 1 2, 2θ 18.36, I = 100
- hkl 0 1 -10, 2θ 34.80, I = 14
- hkl 1 0 6, 2θ 36.23, I = 23
- hkl 0 2 -8, 2θ 42.08, I = 28
- hkl 1 1 8, 2θ 44.05, I = 54
- hkl 1 1 -16, 2θ 62.43, I = 14
- hkl 1 3 0, 2θ 62.66, I = 13
- hkl 0 2 16, 2θ 63.46, I = 7
- hkl 2 0 0, 2θ 64.64, I = 7
- hkl 2 2 -8, 2θ 80.18, I = 6



Structure and computed PXRD pattern of Li7Mn2Co3O12 (a cell relaxed with GGA+U; a wavelength of 1.5418 Å).

```
data_Li7Mn2Co3O12
_cell_length_a 4.9960
_cell_length_b 5.0964
_cell_length_c 8.7659
_cell_angle_alpha 90.30
_cell_angle_beta 90.51
_cell_angle_gamma 108.71
_symmetry_space_group_name_H-M 'P 1'
_symmetry_Int_Tables_number 1
loop_
_symmetry_equiv_pos_as_xyz
'x,y,z'
loop_
_atom_site_label
_atom_site_type_symbol
_atom_site_fract_x
_atom_site_fract_y
_atom_site_fract_z
Li1 Li 0.0000 0.0000 0.0000
Li2 Li 0.0009 0.0005 0.3285
Li3 Li 0.0018 0.0015 0.6573
Li4 Li 0.4991 0.0006 0.8274
Li5 Li 0.4999 0.0033 0.1712
Li6 Li 0.5043 0.5036 0.3245
Li7 Li 0.5066 0.9997 0.4849
Mn1 Mn 0.0030 0.5017 0.1648
Mn2 Mn 0.9984 0.4972 0.8293
Co1 Co 0.4924 0.4940 0.6524
Co2 Co 0.4995 0.4993 0.9970
Co3 Co 0.9954 0.5100 0.4880
O1 O 0.2293 0.7371 0.3195
O2 O 0.2356 0.7304 0.6765
O3 O 0.2404 0.7166 0.9948
O4 O 0.2478 0.2767 0.8366
O5 O 0.2534 0.2822 0.1497
O6 O 0.2564 0.2717 0.5056
O7 O 0.7400 0.7116 0.8324
O8 O 0.7544 0.7227 0.1487
O9 O 0.7585 0.2824 0.9938
O10 O 0.7589 0.7357 0.5019
O11 O 0.7656 0.2682 0.6717
O12 O 0.7810 0.2677 0.3175
```

Principal peaks in the range 2θ from 15° to 90°, in order of rising 2θ:
- hkl 0 1 0, 2θ 18.38, I = 100
- hkl 1 0 -3, 2θ 35.95, I = 13
- hkl 1 0 3, 2θ 36.32, I = 13
- hkl 2 -1 0, 2θ 36.55, I = 13
- hkl 1 1 -3, 2θ 43.40, I = 29
- hkl 1 1 3, 2θ 43.95, I = 28
- hkl 2 -2 0, 2θ 44.18, I = 27
- hkl -1 2 3, 2θ 47.96, I = 8
- hkl 2 2 0, 2θ 63.22, I = 15
- hkl -3 1 3, 2θ 64.12, I = 8



Structure and computed PXRD pattern of Li4MnCo2O7 (a cell relaxed with GGA+U; a wavelength of 1.5418 Å).

```
data_Li4MnCo2O7
_cell_length_a 2.9364
_cell_length_b 6.5842
_cell_length_c 13.5385
_cell_angle_alpha 84.79
_cell_angle_beta 86.84
_cell_angle_gamma 77.26
_symmetry_space_group_name_H-M 'P 1'
_symmetry_Int_Tables_number 1
loop_
_symmetry_equiv_pos_as_xyz
'x,y,z'
loop_
_atom_site_label
_atom_site_type_symbol
_atom_site_fract_x
_atom_site_fract_y
_atom_site_fract_z
Li1 Li 0.0000 0.0000 0.0000
Li2 Li 0.0263 0.4880 0.4964
Li3 Li 0.1520 0.9287 0.7816
Li4 Li 0.3199 0.3335 0.0654
Li5 Li 0.4374 0.7791 0.3583
Li6 Li 0.5911 0.2040 0.6410
Li7 Li 0.7449 0.6348 0.9230
Li8 Li 0.9100 0.0589 0.2015
Mn1 Mn 0.1749 0.4179 0.2808
Mn2 Mn 0.6027 0.7159 0.1326
Co1 Co 0.3163 0.8442 0.5688
Co2 Co 0.4533 0.2594 0.8585
Co3 Co 0.7416 0.1342 0.4269
Co4 Co 0.8853 0.5542 0.7118
O1 O 0.0418 0.2488 0.7530
O2 O 0.0662 0.7285 0.2328
O3 O 0.1475 0.6742 0.0423
O4 O 0.1649 0.1610 0.5271
O5 O 0.3129 0.5751 0.8143
O6 O 0.3167 0.1050 0.3263
O7 O 0.4552 0.5299 0.6108
O8 O 0.4646 0.0013 0.1064
O9 O 0.5736 0.4510 0.3840
O10 O 0.5811 0.9878 0.8818
O11 O 0.7397 0.8720 0.6683
O12 O 0.7696 0.3991 0.1763
O13 O 0.8465 0.3145 0.9506
O14 O 0.8879 0.8171 0.4675
```

Principal peaks in the range 2θ from 15° to 90°, in order of rising 2θ:
- hkl 0 1 2, 2θ 18.33, I = 100
- hkl 1 1 -2, 2θ 35.02, I = 16
- hkl 0 2 -3, 2θ 35.74, I = 14
- hkl 1 0 3, 2θ 36.61, I = 12
- hkl 1 0 -4, 2θ 42.16, I = 32
- hkl 0 3 -1, 2θ 43.47, I = 28
- hkl 1 1 5, 2θ 44.55, I = 26
- hkl -1 2 1, 2θ 47.26, I = 10
- hkl 1 3 -5, 2θ 61.96, I = 8
- hkl -1 3 3, 2θ 62.36, I = 8



Structure and computed PXRD pattern of Li4MnCo2O7 (a cell relaxed with GGA+U; a wavelength of 1.5418 Å).

```
data_Li4MnCo2O7
_cell_length_a 3.0218
_cell_length_b 8.0466
_cell_length_c 10.7037
_cell_angle_alpha 78.39
_cell_angle_beta 86.76
_cell_angle_gamma 89.05
_symmetry_space_group_name_H-M 'P -1'
_symmetry_Int_Tables_number 2
loop_
_symmetry_equiv_pos_as_xyz
'x,y,z'
'-x,-y,-z'
loop_
_atom_site_label
_atom_site_type_symbol
_atom_site_fract_x
_atom_site_fract_y
_atom_site_fract_z
Li1 Li 0.0000 0.0000 0.0000
Li2 Li 0.0000 0.5000 0.0000
Li3 Li 0.1378 0.0747 0.7162
Li4 Li 0.2876 0.6416 0.4269
Li5 Li 0.4306 0.2112 0.1383
Mn1 Mn 0.2867 0.1461 0.4255
Co1 Co 0.1406 0.5668 0.7170
Co2 Co 0.4337 0.7253 0.1367
O1 O 0.0168 0.7458 0.0108
O2 O 0.1201 0.8080 0.7142
O3 O 0.1612 0.3311 0.7235
O4 O 0.2647 0.3892 0.4199
O5 O 0.3100 0.8998 0.4334
O6 O 0.4220 0.9388 0.1457
O7 O 0.4465 0.4828 0.1509
```

Principal peaks in the range 2θ from 15° to 90°, in order of rising 2θ:
- hkl 0 1 2, 2θ 18.37, I = 100
- hkl 1 1 -1, 2θ 33.89, I = 22
- hkl 1 -1 2, 2θ 36.59, I = 12
- hkl 0 3 -1, 2θ 36.93, I = 14
- hkl 1 0 -3, 2θ 40.57, I = 37
- hkl 1 0 4, 2θ 44.58, I = 26
- hkl 0 4 1, 2θ 45.08, I = 25
- hkl 2 0 1, 2θ 61.64, I = 9
- hkl 0 0 7, 2θ 62.05, I = 9
- hkl -1 4 4, 2θ 62.37, I = 8



Structure and computed PXRD pattern of Li4MnCo2O7 (a cell relaxed with GGA+U; a wavelength of 1.5418 Å).

```
data_Li4MnCo2O7
_cell_length_a 3.0240
_cell_length_b 6.0047
_cell_length_c 14.2354
_cell_angle_alpha 82.76
_cell_angle_beta 84.30
_cell_angle_gamma 84.87
_symmetry_space_group_name_H-M 'P 1'
_symmetry_Int_Tables_number 1
loop_
_symmetry_equiv_pos_as_xyz
'x,y,z'
loop_
_atom_site_label
_atom_site_type_symbol
_atom_site_fract_x
_atom_site_fract_y
_atom_site_fract_z
Li1 Li 0.0000 0.0000 0.0000
Li2 Li 0.0011 0.5013 0.9992
Li3 Li 0.1414 0.5731 0.7160
Li4 Li 0.2866 0.1433 0.4285
Li5 Li 0.4345 0.7090 0.1387
Li6 Li 0.5696 0.2911 0.8584
Li7 Li 0.7155 0.8579 0.5707
Li8 Li 0.8599 0.4291 0.2844
Mn1 Mn 0.7153 0.3562 0.5719
Mn2 Mn 0.8597 0.9295 0.2836
Co1 Co 0.1426 0.0693 0.7163
Co2 Co 0.2864 0.6436 0.4282
Co3 Co 0.4378 0.2291 0.1360
Co4 Co 0.5671 0.7744 0.8624
O1 O 0.0510 0.5562 0.8565
O2 O 0.0995 0.0231 0.8505
O3 O 0.1877 0.1099 0.5789
O4 O 0.2421 0.6024 0.5652
O5 O 0.3334 0.6850 0.2917
O6 O 0.3854 0.1739 0.2740
O7 O 0.4898 0.2437 0.0129
O8 O 0.5111 0.7589 0.9855
O9 O 0.6139 0.8328 0.7256
O10 O 0.6684 0.3082 0.7107
O11 O 0.7597 0.4042 0.4326
O12 O 0.8144 0.8837 0.4230
O13 O 0.9046 0.9758 0.1460
O14 O 0.9503 0.4462 0.1420
```

Principal peaks in the range 2θ from 15° to 90°, in order of rising 2θ:
- hkl 0 1 2, 2θ 18.38, I = 100
- hkl 1 1 -1, 2θ 33.88, I = 21
- hkl 1 -1 2, 2θ 36.57, I = 12
- hkl 0 1 -5, 2θ 36.95, I = 14
- hkl 1 2 1, 2θ 40.57, I = 37
- hkl 1 -2 0, 2θ 44.58, I = 27
- hkl 0 0 7, 2θ 45.12, I = 25
- hkl 2 0 1, 2θ 61.59, I = 9
- hkl 0 4 1, 2θ 62.11, I = 16
- hkl 1 -2 7, 2θ 66.08, I = 10



Structure and computed PXRD pattern of Li7Mn2Co3O12 (a cell relaxed with GGA+U; a wavelength of 1.5418 Å).

```
data_Li7Mn2Co3O12
_cell_length_a 5.0317
_cell_length_b 5.1151
_cell_length_c 8.8461
_cell_angle_alpha 91.22
_cell_angle_beta 91.50
_cell_angle_gamma 108.51
_symmetry_space_group_name_H-M 'P 1'
_symmetry_Int_Tables_number 1
loop_
_symmetry_equiv_pos_as_xyz
'x,y,z'
loop_
_atom_site_label
_atom_site_type_symbol
_atom_site_fract_x
_atom_site_fract_y
_atom_site_fract_z
Li1 Li 0.0000 0.0000 0.0000
Li2 Li 0.0034 0.5035 0.1517
Li3 Li 0.4805 0.4917 0.0084
Li4 Li 0.4899 0.4975 0.6762
Li5 Li 0.4934 0.5014 0.3258
Li6 Li 0.9849 0.4962 0.4990
Li7 Li 0.9959 0.5063 0.8486
Mn1 Mn 0.4810 0.9871 0.5010
Mn2 Mn 0.9893 0.9975 0.6721
Co1 Co 0.4868 0.9967 0.1667
Co2 Co 0.5117 0.0142 0.8520
Co3 Co 0.9889 0.9942 0.3215
O1 O 0.2231 0.2046 0.5043
O2 O 0.2313 0.2342 0.8180
O3 O 0.2411 0.7535 0.3473
O4 O 0.2483 0.7848 0.6620
O5 O 0.2497 0.2214 0.1752
O6 O 0.2742 0.7693 0.0063
O7 O 0.7046 0.2089 0.3436
O8 O 0.7321 0.7697 0.5080
O9 O 0.7337 0.2554 0.9940
O10 O 0.7368 0.2182 0.6569
O11 O 0.7382 0.7746 0.1768
O12 O 0.7616 0.7779 0.8175
```

Principal peaks in the range 2θ from 15° to 90°, in order of rising 2θ:
- hkl 0 1 0, 2θ 18.30, I = 100
- hkl 1 0 -3, 2θ 35.25, I = 14
- hkl 2 -1 0, 2θ 36.35, I = 24
- hkl 1 1 -3, 2θ 42.39, I = 31
- hkl 2 -2 0, 2θ 43.99, I = 28
- hkl 1 1 3, 2θ 44.24, I = 26
- hkl 1 -3 3, 2θ 62.39, I = 8
- hkl 2 2 0, 2θ 62.76, I = 8
- hkl -3 1 3, 2θ 63.09, I = 8
- hkl 0 0 6, 2θ 63.11, I = 7